Calculated powder diffraction line list
Compound: Gd2TmP3
Radiation: Cu Kα (λ = 1.5418 Å)
Structure: a DFT-relaxed cell (GGA-PBE, OQMD)
Peak positions follow from Bragg's law for the DFT cell and can differ from measured ones.

Top 6 peaks for 15 to 90 degrees two-theta, by angle:
2θ (°)	I/Imax
27.20	87
31.51	100
45.17	73
53.53	42
56.11	25
74.78	33

Structure:
```
6
Lattice="4.0157 0.0000 0.0000 -2.0078 3.4777 0.0000 0.0000 0.0000 9.8303" Properties=species:S:1:pos:R:3 pbc="T T T"
Gd 0.0000 2.3185 3.2508
Gd 2.0078 1.1592 6.5795
Tm 0.0000 0.0000 0.0000
P 0.0000 0.0000 4.9151
P 0.0000 2.3185 8.2464
P 2.0078 1.1592 1.5838
```